(1)
Theoretical X-ray diffraction stick pattern
Compound: CsGaGe
Radiation: Cu Kα (weighted mean of Kα1 and Kα2)
Structure: the PBE geometry in Alexandria

Principal peaks in the range 2θ from 10° to 80°, most intense first:
h k l  2θ/deg  I/Imax
1 0 1  27.73  100
1 1 2  51.36  33
1 1 0  41.54  31
0 0 2  28.84  28
1 0 3  50.42  19
2 0 1  50.68  18

Cell and atoms:
```
data_CsGaGe
_cell_length_a 4.3480
_cell_length_b 4.3480
_cell_length_c 6.1920
_cell_angle_alpha 90.00
_cell_angle_beta 90.00
_cell_angle_gamma 120.00
_symmetry_space_group_name_H-M 'P -6 m 2'
_symmetry_Int_Tables_number 187
_symmetry_space_group_name_Hall 'P -6 2'
loop_
_atom_site_label
_atom_site_type_symbol
_atom_site_fract_x
_atom_site_fract_y
_atom_site_fract_z
Cs1 Cs 0.0000 0.0000 0.0000
Ga1 Ga 0.3333 0.6667 0.5000
Ge1 Ge 0.6667 0.3333 0.5000
```

---

(2)
Theoretical X-ray diffraction stick pattern
Compound: CsGaGe
Radiation: Cu Kα (weighted mean of Kα1 and Kα2)
Structure: the PBE geometry in Alexandria

Principal peaks in the range 2θ from 10° to 80°, most intense first:
h k l  2θ/deg  I/Imax
3 1 0  29.83  100
3 1 -2  33.08  75
2 0 1  22.55  67
2 0 -2  23.06  46
5 1 1  47.31  44
6 0 -2  34.95  40

Cell and atoms:
```
data_CsGaGe
_cell_length_a 15.7746
_cell_length_b 3.9554
_cell_length_c 7.7152
_cell_angle_alpha 90.00
_cell_angle_beta 119.28
_cell_angle_gamma 90.00
_symmetry_space_group_name_H-M 'C 1 2/m 1'
_symmetry_Int_Tables_number 12
loop_
_symmetry_equiv_pos_as_xyz
'x,y,z'
'-x,-y,-z'
'-x,y,-z'
'x,-y,z'
'x+1/2,y+1/2,z'
'-x+1/2,-y+1/2,-z'
'-x+1/2,y+1/2,-z'
'x+1/2,-y+1/2,z'
loop_
_atom_site_label
_atom_site_type_symbol
_atom_site_fract_x
_atom_site_fract_y
_atom_site_fract_z
Cs1 Cs 0.1614 0.0000 0.1619
Ga1 Ga 0.1063 0.0000 0.6074
Ge1 Ge 0.0008 0.5000 0.3320
```

---

(3)
Theoretical X-ray diffraction stick pattern
Compound: CsGaGe
Radiation: Cu Kα (weighted mean of Kα1 and Kα2)
Structure: the PBE geometry in Alexandria

Principal peaks in the range 2θ from 10° to 80°, most intense first:
h k l  2θ/deg  I/Imax
3 0 1  25.14  100
0 1 3  35.56  79
1 1 1  24.02  67
2 0 3  32.71  62
2 1 0  25.84  53
3 1 4  50.43  51

Cell and atoms:
```
data_CsGaGe
_cell_length_a 11.4822
_cell_length_b 4.3114
_cell_length_c 9.3426
_cell_angle_alpha 90.00
_cell_angle_beta 90.00
_cell_angle_gamma 90.00
_symmetry_space_group_name_H-M 'P n m a'
_symmetry_Int_Tables_number 62
loop_
_symmetry_equiv_pos_as_xyz
'x,y,z'
'-x,-y,-z'
'-x+1/2,-y,z+1/2'
'x+1/2,y,-z+1/2'
'x+1/2,-y+1/2,-z+1/2'
'-x+1/2,y+1/2,z+1/2'
'-x,y+1/2,-z'
'x,-y+1/2,z'
loop_
_atom_site_label
_atom_site_type_symbol
_atom_site_fract_x
_atom_site_fract_y
_atom_site_fract_z
Cs1 Cs 0.1921 0.2500 0.0602
Ga1 Ga 0.0373 0.2500 0.4262
Ge1 Ge 0.0133 0.2500 0.7102
```

---

(4)
Theoretical X-ray diffraction stick pattern
Compound: Cs3Ga4Ge2
Radiation: Cu Kα (weighted mean of Kα1 and Kα2)
Structure: the PBE geometry in Alexandria

Principal peaks in the range 2θ from 10° to 80°, most intense first:
h k l  2θ/deg  I/Imax
1 1 -2  30.13  100
0 2 -1  24.58  59
-1 1 1  23.87  58
0 1 -3  25.27  44
1 0 4  42.64  42
2 -1 0  41.84  32

Cell and atoms:
```
data_Cs3Ga4Ge2
_cell_length_a 4.3181
_cell_length_b 7.5692
_cell_length_c 10.8373
_cell_angle_alpha 105.69
_cell_angle_beta 90.08
_cell_angle_gamma 106.55
_symmetry_space_group_name_H-M 'P -1'
_symmetry_Int_Tables_number 2
loop_
_symmetry_equiv_pos_as_xyz
'x,y,z'
'-x,-y,-z'
loop_
_atom_site_label
_atom_site_type_symbol
_atom_site_fract_x
_atom_site_fract_y
_atom_site_fract_z
Cs1 Cs 0.0000 0.0000 0.0000
Cs2 Cs 0.4009 0.7984 0.6116
Ga1 Ga 0.1506 0.3028 0.6942
Ga2 Ga 0.2806 0.5618 0.9112
Ge1 Ge 0.3508 0.7010 0.1550
```

---

(5)
Theoretical X-ray diffraction stick pattern
Compound: Cs2Ga2Ge2H
Radiation: Cu Kα (weighted mean of Kα1 and Kα2)
Structure: the PBE geometry in Alexandria

Principal peaks in the range 2θ from 10° to 80°, most intense first:
h k l  2θ/deg  I/Imax
1 0 -2  27.27  100
0 1 2  31.30  74
0 2 0  29.14  60
1 -2 1  32.64  58
0 2 -1  29.28  55
0 1 -2  26.12  54

Cell and atoms:
```
data_Cs2Ga2Ge2H
_cell_length_a 4.4714
_cell_length_b 6.6408
_cell_length_c 7.6555
_cell_angle_alpha 94.90
_cell_angle_beta 106.86
_cell_angle_gamma 109.44
_symmetry_space_group_name_H-M 'P -1'
_symmetry_Int_Tables_number 2
loop_
_symmetry_equiv_pos_as_xyz
'x,y,z'
'-x,-y,-z'
loop_
_atom_site_label
_atom_site_type_symbol
_atom_site_fract_x
_atom_site_fract_y
_atom_site_fract_z
Cs1 Cs 0.2294 0.2913 0.1685
Ga1 Ga 0.0986 0.7750 0.4285
Ge1 Ge 0.4125 0.1218 0.6977
H1 H 0.0000 0.5000 0.5000
```

---

(6)
Theoretical X-ray diffraction stick pattern
Compound: Cs2NaGaGe2
Radiation: Cu Kα (weighted mean of Kα1 and Kα2)
Structure: the PBE geometry in Alexandria

Principal peaks in the range 2θ from 10° to 80°, most intense first:
h k l  2θ/deg  I/Imax
1 4 1  27.51  100
2 0 2  36.26  42
1 4 3  47.29  22
0 0 2  26.40  21
2 0 0  24.40  21
1 8 1  46.13  20

Cell and atoms:
```
data_Cs2NaGaGe2
_cell_length_a 7.2970
_cell_length_b 17.1507
_cell_length_c 6.7511
_cell_angle_alpha 90.00
_cell_angle_beta 90.00
_cell_angle_gamma 90.00
_symmetry_space_group_name_H-M 'I b a m'
_symmetry_Int_Tables_number 72
_symmetry_space_group_name_Hall '-I 2 2c'
loop_
_atom_site_label
_atom_site_type_symbol
_atom_site_fract_x
_atom_site_fract_y
_atom_site_fract_z
Cs1 Cs 0.2418 0.1681 0.0000
Na1 Na 0.0000 0.0000 0.2500
Ga1 Ga 0.0000 0.5000 0.2500
Ge1 Ge 0.1986 0.4198 0.0000
```

---

(7)
Theoretical X-ray diffraction stick pattern
Compound: Cs3Ga2H6
Radiation: Cu Kα (weighted mean of Kα1 and Kα2)
Structure: the PBE geometry in Alexandria

Principal peaks in the range 2θ from 10° to 80°, most intense first:
h k l  2θ/deg  I/Imax
1 1 2  23.83  100
0 1 3  21.64  33
1 2 1  27.98  33
0 3 3  37.13  27
0 2 0  20.95  26
1 2 5  42.33  21

Cell and atoms:
```
data_Cs3Ga2H6
_cell_length_a 5.1536
_cell_length_b 8.4795
_cell_length_c 14.0841
_cell_angle_alpha 90.00
_cell_angle_beta 90.00
_cell_angle_gamma 90.00
_symmetry_space_group_name_H-M 'P n n m'
_symmetry_Int_Tables_number 58
loop_
_symmetry_equiv_pos_as_xyz
'x,y,z'
'-x,-y,-z'
'-x,-y,z'
'x,y,-z'
'x+1/2,-y+1/2,-z+1/2'
'-x+1/2,y+1/2,z+1/2'
'-x+1/2,y+1/2,-z+1/2'
'x+1/2,-y+1/2,z+1/2'
loop_
_atom_site_label
_atom_site_type_symbol
_atom_site_fract_x
_atom_site_fract_y
_atom_site_fract_z
Cs1 Cs 0.0000 0.0000 0.0000
Cs2 Cs 0.0000 0.5000 0.1842
Ga1 Ga 0.0414 0.1452 0.5000
H1 H 0.0580 0.7554 0.4078
H2 H 0.1452 0.6728 0.0000
```

---

(8)
Theoretical X-ray diffraction stick pattern
Compound: CsGa6H2
Radiation: Cu Kα (weighted mean of Kα1 and Kα2)
Structure: the PBE geometry in Alexandria

Principal peaks in the range 2θ from 10° to 80°, most intense first:
h k l  2θ/deg  I/Imax
1 -1 1  31.09  100
1 1 2  29.05  78
2 0 1  33.40  54
1 0 -1  25.83  43
0 2 1  33.18  32
0 1 -2  39.77  26

Cell and atoms:
```
data_CsGa6H2
_cell_length_a 5.8882
_cell_length_b 5.9168
_cell_length_c 6.3145
_cell_angle_alpha 68.78
_cell_angle_beta 68.96
_cell_angle_gamma 68.82
_symmetry_space_group_name_H-M 'P -1'
_symmetry_Int_Tables_number 2
loop_
_symmetry_equiv_pos_as_xyz
'x,y,z'
'-x,-y,-z'
loop_
_atom_site_label
_atom_site_type_symbol
_atom_site_fract_x
_atom_site_fract_y
_atom_site_fract_z
Cs1 Cs 0.0000 0.0000 0.0000
Ga1 Ga 0.1291 0.5809 0.5946
Ga2 Ga 0.3615 0.3631 0.2047
Ga3 Ga 0.4183 0.8712 0.4084
H1 H 0.3147 0.3113 0.7577
```

---

(9)
Theoretical X-ray diffraction stick pattern
Compound: Cs2Ga2H
Radiation: Cu Kα (weighted mean of Kα1 and Kα2)
Structure: the PBE geometry in Alexandria

Principal peaks in the range 2θ from 10° to 80°, most intense first:
h k l  2θ/deg  I/Imax
1 0 1  23.30  100
0 0 6  25.25  68
1 0 5  31.27  60
1 1 4  36.90  59
1 1 2  33.75  56
2 0 6  53.93  33

Cell and atoms:
```
data_Cs2Ga2H
_cell_length_a 3.8806
_cell_length_b 3.8806
_cell_length_c 21.1601
_cell_angle_alpha 90.00
_cell_angle_beta 90.00
_cell_angle_gamma 90.00
_symmetry_space_group_name_H-M 'I 4/m m m'
_symmetry_Int_Tables_number 139
_symmetry_space_group_name_Hall '-I 4 2'
loop_
_atom_site_label
_atom_site_type_symbol
_atom_site_fract_x
_atom_site_fract_y
_atom_site_fract_z
Cs1 Cs 0.0000 0.0000 0.0890
Ga1 Ga 0.0000 0.5000 0.2500
H1 H 0.0000 0.0000 0.5000
```

---

(10)
Theoretical X-ray diffraction stick pattern
Compound: CsLiGa2H8
Radiation: Cu Kα (weighted mean of Kα1 and Kα2)
Structure: the PBE geometry in Alexandria

Principal peaks in the range 2θ from 10° to 80°, most intense first:
h k l  2θ/deg  I/Imax
1 0 4  25.03  100
1 1 0  35.34  43
1 0 1  20.52  41
0 1 5  27.40  40
0 1 8  36.05  28
2 -1 9  49.37  23

Cell and atoms:
```
data_CsLiGa2H8
_cell_length_a 5.0794
_cell_length_b 5.0794
_cell_length_c 24.1880
_cell_angle_alpha 90.00
_cell_angle_beta 90.00
_cell_angle_gamma 120.00
_symmetry_space_group_name_H-M 'R -3'
_symmetry_Int_Tables_number 148
_symmetry_space_group_name_Hall '-R 3'
loop_
_atom_site_label
_atom_site_type_symbol
_atom_site_fract_x
_atom_site_fract_y
_atom_site_fract_z
Cs1 Cs 0.0000 0.0000 0.0000
Li1 Li 0.0000 0.0000 0.5000
Ga1 Ga 0.0000 0.0000 0.2340
H1 H 0.0000 0.0000 0.3008
H2 H 0.0124 0.6221 0.8821
```